1.
The following is a simulated XRD peak list of KCa2TlB. It was derived from a cell relaxed with GGA-PBE, using CuKα.
Neutral-atom scattering factors, no anomalous dispersion.

Structural model:
Unit cell a=6.020 b=6.020 c=6.450 alpha=90.00 beta=90.00 gamma=90.00
Positions (direct):
K  0.000  0.000  0.000
Ca  0.000  0.500  0.500
Ca  0.500  0.000  0.500
Tl  0.000  0.000  0.500
B  0.500  0.500  0.000

Top 6 peaks for 10 to 90 degrees two-theta, in order of rising 2θ:
d = 6.450 Å, 2θ = 13.73°, intensity 60
d = 6.020 Å, 2θ = 14.71°, intensity 100
d = 4.401 Å, 2θ = 20.18°, intensity 50
d = 3.010 Å, 2θ = 29.68°, intensity 40
d = 2.843 Å, 2θ = 31.47°, intensity 33
d = 2.200 Å, 2θ = 41.02°, intensity 32


2.
The following is a simulated XRD peak list of Ca4LaB3O10. It was derived from a cell relaxed with GGA-PBE, using CuKα.
Neutral-atom scattering factors, no anomalous dispersion.

Structural model:
Unit cell a=9.096 b=9.096 c=3.652 alpha=95.11 beta=95.11 gamma=126.29
Positions (direct):
Ca  0.114  0.886  0.000
Ca  0.192  0.552  0.661
Ca  0.552  0.192  0.661
Ca  0.886  0.114  0.000
La  0.645  0.645  0.331
B  0.260  0.260  0.623
B  0.493  0.886  0.245
B  0.886  0.493  0.245
O  0.012  0.673  0.443
O  0.100  0.249  0.577
O  0.249  0.100  0.577
O  0.399  0.696  0.236
O  0.409  0.952  0.063
O  0.433  0.433  0.717
O  0.673  0.012  0.443
O  0.696  0.399  0.236
O  0.823  0.823  0.914
O  0.952  0.409  0.063

Top 6 peaks for 10 to 90 degrees two-theta, in order of rising 2θ:
d = 7.216 Å, 2θ = 12.27°, intensity 49
d = 4.491 Å, 2θ = 19.77°, intensity 41
d = 3.007 Å, 2θ = 29.71°, intensity 100
d = 2.984 Å, 2θ = 29.94°, intensity 46
d = 2.859 Å, 2θ = 31.29°, intensity 30
d = 1.814 Å, 2θ = 50.30°, intensity 36